# Y2Mn16Cr
Theoretical powder XRD pattern, copper Kα. Input: the PBE geometry in Alexandria.
Intensities are scaled so that the largest is 100.

Cell and atoms:
Lattice parameters (Å, degrees): 8.4988 8.4988 12.0166 90.00 90.00 120.00
Space group R3m (No. 160, hexagonal axes)
Symmetry-distinct sites (fractional):
Y1 0.0000 0.0000 0.0000 x3
Y2 0.0000 0.0000 0.3109 x3
Mn1 0.0000 0.0000 0.5566 x3
Mn2 0.0003 0.2737 0.6543 x18
Mn3 0.9998 0.4999 0.5074 x9
Mn4 0.1672 0.3344 0.1367 x9
Mn5 0.1670 0.3340 0.4872 x9
Cr1 0.0000 0.0000 0.7520 x3

Most intense lines, 2θ from 15° to 90°, low angle first:
2θ/deg  d_spacing  I (rel.)  (hkl)
30.67  2.915  28  1 1 3
36.63  2.453  34  3 0 0
38.69  2.327  49  0 2 4
42.55  2.125  89  2 2 0
43.24  2.092  100  3 0 3
45.05  2.012  34  2 0 5
45.28  2.003  37  0 0 6
48.50  1.877  53  2 2 3

# ZrMnCr
Theoretical powder XRD pattern, copper Kα. Input: the PBE geometry in Alexandria.
Intensities are scaled so that the largest is 100.

Cell and atoms:
Lattice parameters (Å, degrees): 4.934 5.154 7.019 90.00 90.00 90.00
Space group Imma (No. 74)
Symmetry-distinct sites (fractional):
Zr1 0.000 0.250 0.125 x4
Mn1 0.000 0.000 0.500 x4
Cr1 0.250 0.250 0.750 x4

Most intense lines, 2θ from 15° to 90°, low angle first:
2θ/deg  d_spacing  I (rel.)  (hkl)
35.91  2.501  89  1 1 2
41.58  2.172  100  1 2 1
42.43  2.130  45  0 1 3
42.62  2.121  89  2 1 1
42.77  2.114  46  1 0 3
43.57  2.077  34  0 2 2
44.91  2.018  32  2 0 2
76.13  1.250  41  2 2 4

# Cr2Mo
Theoretical powder XRD pattern, copper Kα. Input: the PBE geometry in Alexandria.
Intensities are scaled so that the largest is 100.

Cell and atoms:
Lattice parameters (Å, degrees): 2.987 4.247 12.447 90.00 90.00 90.00
Space group Fmmm (No. 69)
Symmetry-distinct sites (fractional):
Cr1 0.000 0.000 0.174 x8
Mo1 0.000 0.000 0.500 x4

Most intense lines, 2θ from 15° to 90°, low angle first:
2θ/deg  d_spacing  I (rel.)  (hkl)
37.51  2.398  8  1 1 1
42.57  2.124  26  0 2 0
42.96  2.105  100  1 1 3
43.63  2.075  23  0 0 6
62.14  1.494  8  2 0 0
62.60  1.484  15  0 2 6
78.21  1.222  23  2 2 0
79.66  1.204  14  1 1 9

# Cr3Mo5
Theoretical powder XRD pattern, copper Kα. Input: the PBE geometry in Alexandria.
Intensities are scaled so that the largest is 100.

Cell and atoms:
Lattice parameters (Å, degrees): 6.134 8.677 8.675 90.00 90.00 90.00
Space group Amm2 (No. 38)
Symmetry-distinct sites (fractional):
Cr1 0.000 0.000 0.000 x2
Cr2 0.000 0.246 0.244 x4
Cr3 0.244 0.000 0.244 x4
Cr4 0.500 0.000 0.492 x2
Mo1 0.000 0.000 0.488 x2
Mo2 0.245 0.000 0.744 x4
Mo3 0.245 0.250 0.495 x8
Mo4 0.500 0.000 0.999 x2
Mo5 0.500 0.244 0.245 x4

Most intense lines, 2θ from 15° to 90°, low angle first:
2θ/deg  d_spacing  I (rel.)  (hkl)
20.48  4.338  3  1 1 1
25.15  3.542  1  1 0 2
32.64  2.743  3  1 2 2
35.86  2.504  1  1 3 1
41.64  2.169  100  2 2 2
44.30  2.045  1  3 0 0
60.36  1.534  16  4 0 0
76.00  1.252  31  4 4 0

# Cr3Mo13
Theoretical powder XRD pattern, copper Kα. Input: the PBE geometry in Alexandria.
Intensities are scaled so that the largest is 100.

Cell and atoms:
Lattice parameters (Å, degrees): 6.240 8.800 8.837 90.00 90.00 90.00
Space group Amm2 (No. 38)
Symmetry-distinct sites (fractional):
Cr1 0.000 0.000 0.000 x2
Cr2 0.248 0.000 0.753 x4
Mo1 0.000 0.000 0.506 x2
Mo2 0.000 0.244 0.753 x4
Mo3 0.248 0.000 0.250 x4
Mo4 0.248 0.247 0.002 x8
Mo5 0.500 0.000 0.506 x2
Mo6 0.500 0.000 0.998 x2
Mo7 0.500 0.245 0.752 x4

Most intense lines, 2θ from 15° to 90°, low angle first:
2θ/deg  d_spacing  I (rel.)  (hkl)
40.91  2.206  100  2 2 2
41.03  2.200  20  0 4 0
59.26  1.559  19  4 0 0
74.43  1.275  19  4 0 4
74.64  1.272  19  4 4 0
88.52  1.105  2  0 0 8
88.72  1.103  9  4 4 4
88.99  1.100  2  0 8 0

# Cr11Mo5
Theoretical powder XRD pattern, copper Kα. Input: the PBE geometry in Alexandria.
Intensities are scaled so that the largest is 100.

Cell and atoms:
Lattice parameters (Å, degrees): 5.956 5.963 5.967 90.00 90.19 90.00
Space group Pm (No. 6)
Symmetry-distinct sites (fractional):
Cr1 0.000 0.000 0.000 x1
Cr2 0.000 0.000 0.490 x1
Cr3 0.250 0.252 0.246 x2
Cr4 0.505 0.500 0.000 x1
Cr5 0.507 0.500 0.490 x1
Cr6 0.754 0.253 0.742 x2
Cr7 0.755 0.253 0.248 x2
Cr8 0.997 0.500 0.492 x1
Mo1 0.249 0.252 0.742 x2
Mo2 0.509 0.000 0.490 x1
Mo3 0.509 0.000 0.999 x1
Mo4 0.996 0.500 0.001 x1

Most intense lines, 2θ from 15° to 90°, low angle first:
2θ/deg  d_spacing  I (rel.)  (hkl)
21.09  4.213  6  1 0 1
42.89  2.109  100  2 2 0
42.99  2.104  20  2 0 2
62.26  1.491  12  0 4 0
62.36  1.489  6  4 0 0
78.53  1.218  18  2 4 -2
78.67  1.216  12  2 4 2
78.77  1.215  6  4 2 2